Computed PXRD pattern
Compound: CsMoP2HO9
Radiation: Cu Kα (weighted mean of Kα1 and Kα2)
Structure: a DFT-relaxed cell (GGA+U, Alexandria)
Peak positions follow from Bragg's law for the DFT cell and can differ from measured ones.

Structure:
Cell lengths 6.3687, 14.2329, 10.4238 Å; angles 90.00, 100.19, 90.00 degrees
Fractional positions:
Cs (0.1998, 0.1596, 0.3670)
Cs (0.1998, 0.3404, 0.8670)
Cs (0.8002, 0.6596, 0.1330)
Cs (0.8002, 0.8404, 0.6330)
Mo (0.2978, 0.0480, 0.7339)
Mo (0.2978, 0.4520, 0.2339)
Mo (0.7022, 0.5480, 0.7661)
Mo (0.7022, 0.9520, 0.2661)
P (0.1853, 0.5993, 0.6991)
P (0.1853, 0.9007, 0.1991)
P (0.3881, 0.6300, 0.4754)
P (0.3881, 0.8700, 0.9754)
P (0.6119, 0.1300, 0.0246)
P (0.6119, 0.3700, 0.5246)
P (0.8147, 0.0993, 0.8009)
P (0.8147, 0.4007, 0.3009)
H (0.2936, 0.7347, 0.8724)
H (0.2936, 0.7653, 0.3724)
H (0.7064, 0.2347, 0.6276)
H (0.7064, 0.2653, 0.1276)
O (0.0104, 0.0376, 0.7897)
O (0.0104, 0.4624, 0.2897)
O (0.1769, 0.6985, 0.7471)
O (0.1769, 0.8015, 0.2471)
O (0.1879, 0.5993, 0.5444)
O (0.1879, 0.9007, 0.0444)
O (0.2376, 0.5165, 0.0913)
O (0.2376, 0.9835, 0.5913)
O (0.2608, 0.1628, 0.6775)
O (0.2608, 0.3372, 0.1775)
O (0.3505, 0.5836, 0.3428)
O (0.3505, 0.9164, 0.8428)
O (0.3762, 0.7392, 0.4607)
O (0.3762, 0.7608, 0.9607)
O (0.3825, 0.5417, 0.7648)
O (0.3825, 0.9583, 0.2648)
O (0.4079, 0.1053, 0.9321)
O (0.4079, 0.3947, 0.4321)
O (0.5921, 0.6053, 0.5679)
O (0.5921, 0.8947, 0.0679)
O (0.6175, 0.0417, 0.7352)
O (0.6175, 0.4583, 0.2352)
O (0.6238, 0.2392, 0.0393)
O (0.6238, 0.2608, 0.5393)
O (0.6495, 0.0836, 0.1572)
O (0.6495, 0.4164, 0.6572)
O (0.7392, 0.6628, 0.8225)
O (0.7392, 0.8372, 0.3225)
O (0.7624, 0.0165, 0.4087)
O (0.7624, 0.4835, 0.9087)
O (0.8121, 0.0993, 0.9556)
O (0.8121, 0.4007, 0.4556)
O (0.8231, 0.1985, 0.7529)
O (0.8231, 0.3015, 0.2529)
O (0.9896, 0.5376, 0.7103)
O (0.9896, 0.9624, 0.2103)

Main lines, by angle (10 to 80 degrees two-theta):
two_theta, I_rel, hkl
17.3, 48, 0 0 2
18.4, 46, 0 1 2
19.7, 100, 1 2 -1
21.4, 37, 0 2 2
21.8, 43, 1 2 1
23.9, 42, 1 2 -2
26.0, 99, 1 3 1
26.5, 66, 0 4 1
28.5, 53, 2 0 0
29.0, 95, 2 1 -1